# 1
Simulated X-ray diffraction stick pattern of Fe3GeSb for Cu Kα, from a cell relaxed with GGA-PBE.

Cell and atoms:
```
data_Fe3GeSb
_chemical_formula_sum 'Fe3 Ge1 Sb1'
_space_group_name_H-M_alt 'P m -3 m'
_space_group_IT_number 221
_space_group_name_Hall '-P 4 2 3'
_cell_length_a 4.428
_cell_length_b 4.428
_cell_length_c 4.428
_cell_angle_alpha 90.00
_cell_angle_beta 90.00
_cell_angle_gamma 90.00
loop_
_atom_site_label
_atom_site_type_symbol
_atom_site_fract_x
_atom_site_fract_y
_atom_site_fract_z
Fe1 Fe 0.000 0.000 0.500
Ge1 Ge 0.000 0.000 0.000
Sb1 Sb 0.500 0.500 0.500
```

Main lines, in order of rising 2θ (10 to 80 degrees two-theta):
d [Å], 2θ/deg, I (rel.), h k l
4.428, 20.05, 1.0, 1 0 0
3.131, 28.51, 71.0, 1 1 0
2.556, 35.10, 72.7, 1 1 1
2.214, 40.76, 100.0, 2 0 0
1.808, 50.49, 29.5, 2 1 1
1.565, 59.01, 63.6, 2 2 0
1.400, 66.82, 12.8, 3 1 0
1.335, 70.55, 24.8, 3 1 1
1.278, 74.19, 20.8, 2 2 2



# 2
Simulated X-ray diffraction stick pattern of Nd5Pd3 for Cu Kα, from a cell relaxed with GGA-PBE.

Cell and atoms:
```
data_Nd5Pd3
_chemical_formula_sum 'Nd20 Pd12'
_space_group_name_H-M_alt 'P 4/n c c'
_space_group_IT_number 130
_cell_length_a 11.520
_cell_length_b 11.520
_cell_length_c 6.587
_cell_angle_alpha 90.00
_cell_angle_beta 90.00
_cell_angle_gamma 90.00
loop_
_space_group_symop_operation_xyz
'x,y,z'
'-x,-y,-z'
'-y+1/2,x,z'
'y+1/2,-x,-z'
'-x+1/2,-y+1/2,z'
'x+1/2,y+1/2,-z'
'y,-x+1/2,z'
'-y,x+1/2,-z'
'x+1/2,-y,-z+1/2'
'-x+1/2,y,z+1/2'
'-y,-x,-z+1/2'
'y,x,z+1/2'
'-x,y+1/2,-z+1/2'
'x,-y+1/2,z+1/2'
'y+1/2,x+1/2,-z+1/2'
'-y+1/2,-x+1/2,z+1/2'
loop_
_atom_site_label
_atom_site_type_symbol
_atom_site_fract_x
_atom_site_fract_y
_atom_site_fract_z
Nd1 Nd 0.042 0.159 0.129
Nd2 Nd 0.250 0.750 0.000
Pd1 Pd 0.095 0.595 0.750
Pd2 Pd 0.250 0.250 0.389
```

Main lines, in order of rising 2θ (10 to 80 degrees two-theta):
d [Å], 2θ/deg, I (rel.), h k l
3.188, 27.99, 44.9, 3 1 1
3.167, 28.18, 13.6, 1 0 2
2.875, 31.11, 38.3, 3 2 1
2.859, 31.29, 14.7, 2 0 2
2.775, 32.26, 35.7, 2 1 2
2.574, 34.85, 100.0, 4 2 0
2.500, 35.92, 20.0, 3 0 2
2.443, 36.79, 17.0, 3 1 2
2.399, 37.49, 15.6, 4 2 1
2.020, 44.87, 13.8, 2 1 3
1.629, 56.48, 15.5, 5 5 0
1.579, 58.45, 14.4, 5 4 2



# 3
Simulated X-ray diffraction stick pattern of RbMgBr3O6 for Cu Kα, from a cell relaxed with GGA-PBE.

Cell and atoms:
```
data_RbMgBr3O6
_chemical_formula_sum 'Rb4 Mg4 Br12 O24'
_space_group_name_H-M_alt 'C 1 2/c 1'
_space_group_IT_number 15
_space_group_name_Hall '-C 2yc'
_cell_length_a 11.803
_cell_length_b 7.242
_cell_length_c 10.880
_cell_angle_alpha 90.00
_cell_angle_beta 102.90
_cell_angle_gamma 90.00
loop_
_atom_site_label
_atom_site_type_symbol
_atom_site_fract_x
_atom_site_fract_y
_atom_site_fract_z
Rb1 Rb 0.000 0.033 0.250
Mg1 Mg 0.250 0.250 0.000
Br1 Br 0.164 0.398 0.749
Br2 Br 0.250 0.250 0.500
O1 O 0.094 0.322 0.870
O2 O 0.196 0.137 0.161
O3 O 0.249 0.489 0.588
```

Main lines, in order of rising 2θ (10 to 80 degrees two-theta):
d [Å], 2θ/deg, I (rel.), h k l
5.753, 15.40, 67.5, 2 0 0
5.303, 16.72, 49.3, 0 0 2
5.053, 17.55, 25.4, 1 1 1
4.422, 20.08, 27.4, 2 0 -2
3.427, 26.00, 100.0, 0 2 1
3.389, 26.30, 64.3, 3 1 0
3.152, 28.32, 39.4, 3 1 -2
3.060, 29.18, 56.1, 3 1 1
2.990, 29.88, 53.3, 0 2 2
2.651, 33.81, 33.1, 0 0 4
2.630, 34.09, 47.2, 3 1 2
2.322, 38.78, 45.9, 3 1 -4



# 4
Simulated X-ray diffraction stick pattern of DyNpNi for Cu Kα, from a cell relaxed with GGA-PBE.

Cell and atoms:
```
data_DyNpNi
_chemical_formula_sum 'Dy4 Np4 Ni4'
_space_group_name_H-M_alt 'C 1 2/m 1'
_space_group_IT_number 12
_space_group_name_Hall '-C 2y'
_cell_length_a 9.894
_cell_length_b 3.449
_cell_length_c 7.923
_cell_angle_alpha 90.00
_cell_angle_beta 97.23
_cell_angle_gamma 90.00
loop_
_atom_site_label
_atom_site_type_symbol
_atom_site_fract_x
_atom_site_fract_y
_atom_site_fract_z
Dy1 Dy 0.119 0.000 0.343
Np1 Np 0.167 0.500 0.958
Ni1 Ni 0.165 0.000 0.697
```

Main lines, in order of rising 2θ (10 to 80 degrees two-theta):
d [Å], 2θ/deg, I (rel.), h k l
7.860, 11.26, 69.3, 0 0 1
4.908, 18.08, 37.7, 2 0 0
3.941, 22.56, 30.7, 2 0 1
3.275, 27.23, 66.0, 2 0 -2
2.963, 30.16, 90.7, 1 1 1
2.620, 34.23, 60.0, 0 0 3
2.455, 36.60, 64.4, 4 0 0
2.332, 38.61, 100.0, 3 1 -1
2.084, 43.43, 29.2, 1 1 -3
1.954, 46.47, 60.5, 3 1 2
1.724, 53.11, 25.9, 0 2 0
1.652, 55.64, 24.0, 1 1 4